[1]
The following is a computed powder X-ray diffraction pattern of La3UPd12. It was derived from the GGA-PBE geometry in Alexandria, using copper Kα.
No peak broadening, texture or thermal motion is included.

Most intense lines, 10° ≤ 2θ ≤ 90°, sorted by position:
Position (°2θ), I_rel
10.53, 1.9
21.13, 3.3
30.05, 2.9
37.02, 100.0
43.01, 48.9
48.40, 1.7
53.36, 1.4
62.46, 31.5
74.88, 36.4
78.84, 10.5

Crystal structure
```
La3UPd12
1.0
4.2078 0.0000 0.0000
0.0000 4.2078 0.0000
0.0000 0.0000 16.8055
La U Pd
3 1 12
Cartesian
0.0000 0.0000 0.0000
0.0000 0.0000 4.1958
0.0000 0.0000 12.6096
0.0000 0.0000 8.4027
0.0000 2.1039 2.1328
0.0000 2.1039 6.4401
0.0000 2.1039 10.3653
0.0000 2.1039 14.6726
2.1039 0.0000 2.1328
2.1039 0.0000 6.4401
2.1039 0.0000 10.3653
2.1039 0.0000 14.6726
2.1039 2.1039 0.0000
2.1039 2.1039 4.2840
2.1039 2.1039 8.4027
2.1039 2.1039 12.5215
```



[2]
The following is a computed powder X-ray diffraction pattern of LaY2Pd. It was derived from the GGA-PBE geometry in Alexandria, using copper Kα.
No peak broadening, texture or thermal motion is included.

Most intense lines, 10° ≤ 2θ ≤ 90°, sorted by position:
Position (°2θ), I_rel
17.94, 25.5
29.70, 50.9
30.29, 45.4
30.75, 50.6
31.10, 100.0
32.81, 38.5
33.66, 45.3
34.93, 27.4
36.99, 27.7
55.61, 30.7

Crystal structure
```
LaY2Pd
1.0
7.1907 0.0000 0.0000
0.0000 9.8910 0.0000
0.0000 0.0000 6.6164
La Y Pd
4 8 4
Cartesian
0.1530 2.4727 0.9204
3.4423 7.4182 4.2286
3.7483 2.4727 2.3878
7.0377 7.4182 5.6960
1.2657 0.6100 4.4421
1.2657 4.3355 4.4421
2.3296 5.5555 1.1339
2.3296 9.2810 1.1339
4.8610 0.6100 5.4826
4.8610 4.3355 5.4826
5.9250 5.5555 2.1744
5.9250 9.2810 2.1744
0.8427 7.4182 2.8326
2.7526 2.4727 6.1408
4.4380 7.4182 0.4756
6.3480 2.4727 3.7838
```



[3]
The following is a computed powder X-ray diffraction pattern of La3Zn7Pd4. It was derived from the GGA-PBE geometry in Alexandria, using copper Kα.
No peak broadening, texture or thermal motion is included.

Most intense lines, 10° ≤ 2θ ≤ 90°, sorted by position:
Position (°2θ), I_rel
28.68, 38.8
33.86, 75.5
34.25, 33.2
34.95, 100.0
35.19, 74.6
36.18, 29.0
38.23, 36.4
40.00, 42.1
40.55, 83.4
41.46, 28.8

Crystal structure
```
La3Zn7Pd4
1.0
7.8496 -2.2250 0.0000
7.8496 2.2250 0.0000
-5.2338 0.0000 7.8608
La Zn Pd
3 7 4
Cartesian
0.0000 0.0000 0.0000
3.1602 0.0000 2.3573
7.3053 0.0000 5.5035
-2.6169 0.0000 3.9304
-0.0270 0.0000 3.2596
-0.0407 0.0000 7.7232
4.1446 0.0000 5.5073
6.3210 0.0000 2.3534
10.5062 0.0000 0.1375
10.4925 0.0000 4.6012
-2.5542 0.0000 6.5512
1.5584 0.0000 5.5873
8.9071 0.0000 2.2735
13.0197 0.0000 1.3096
```



[4]
The following is a computed powder X-ray diffraction pattern of LaZn4Pd2. It was derived from the GGA-PBE geometry in Alexandria, using copper Kα.
No peak broadening, texture or thermal motion is included.

Most intense lines, 10° ≤ 2θ ≤ 90°, sorted by position:
Position (°2θ), I_rel
33.10, 41.3
33.47, 100.0
37.15, 41.3
39.35, 42.6
42.07, 48.1
42.89, 96.8
49.08, 19.0
54.55, 19.7
57.35, 22.7
64.64, 22.8

Crystal structure
```
LaZn4Pd2
1.0
7.6539 0.0000 0.0000
0.0000 7.6539 0.0000
0.0000 0.0000 4.2958
La Zn Pd
2 8 4
Cartesian
0.0000 0.0000 0.0000
3.8269 3.8269 2.1479
0.7096 2.6952 2.1479
1.1317 4.5366 0.0000
2.6952 0.7096 2.1479
3.1173 6.5222 0.0000
4.5366 1.1317 0.0000
4.9587 6.9443 2.1479
6.5222 3.1173 0.0000
6.9443 4.9587 2.1479
1.7199 5.9340 2.1479
2.1070 2.1070 0.0000
5.5469 5.5469 0.0000
5.9340 1.7199 2.1479
```



[5]
The following is a computed powder X-ray diffraction pattern of La11Zn9Pd4. It was derived from the GGA-PBE geometry in Alexandria, using copper Kα.
No peak broadening, texture or thermal motion is included.

Most intense lines, 10° ≤ 2θ ≤ 90°, sorted by position:
Position (°2θ), I_rel
30.94, 24.5
32.18, 28.8
33.81, 96.5
34.05, 100.0
35.10, 72.6
36.24, 27.6
37.61, 17.6
46.95, 32.0
59.95, 32.0
61.65, 14.9

Crystal structure
```
La11Zn9Pd4
1.0
7.1861 -10.9131 0.0000
7.1861 10.9131 0.0000
0.0000 0.0000 3.8708
La Zn Pd
11 9 4
Cartesian
0.0000 0.0000 0.0000
3.3685 3.8392 0.0000
7.1861 7.2370 0.0000
4.2484 0.0000 0.0000
7.1861 2.7975 0.0000
3.3685 -3.8392 0.0000
11.0038 3.8392 0.0000
7.1861 -2.7975 0.0000
10.1238 0.0000 0.0000
7.1861 -7.2370 0.0000
11.0038 -3.8392 0.0000
2.0267 1.5886 1.9354
5.7321 5.0740 1.9354
2.0267 -1.5886 1.9354
8.6402 5.0740 1.9354
7.1861 0.0000 1.9354
5.7321 -5.0740 1.9354
12.3455 1.5886 1.9354
8.6402 -5.0740 1.9354
12.3455 -1.5886 1.9354
4.9606 2.1979 1.9354
4.9606 -2.1979 1.9354
9.4116 2.1979 1.9354
9.4116 -2.1979 1.9354
```



[6]
The following is a computed powder X-ray diffraction pattern of La6ZnPd2. It was derived from the GGA-PBE geometry in Alexandria, using copper Kα.
No peak broadening, texture or thermal motion is included.

Most intense lines, 10° ≤ 2θ ≤ 90°, sorted by position:
Position (°2θ), I_rel
30.20, 93.0
32.16, 88.2
32.37, 100.0
33.00, 93.5
33.52, 31.5
36.56, 44.9
37.21, 35.8
37.85, 34.4
53.65, 35.8
56.67, 45.3

Crystal structure
```
La6ZnPd2
1.0
-4.9155 5.1243 5.3659
4.9155 -5.1243 5.3659
4.9155 5.1243 -5.3659
La Zn Pd
12 2 4
Cartesian
4.9155 3.1921 -2.7449
2.7565 1.7698 0.0000
7.0745 1.7698 0.0000
1.9700 5.1243 -1.8122
2.9456 0.0000 3.5537
0.0000 1.9322 2.6210
4.9155 3.1921 2.7449
1.9700 5.1243 1.8122
2.9456 0.0000 7.1780
-2.1590 3.3544 5.3659
2.1590 3.3544 5.3659
0.0000 1.9322 8.1107
0.0000 0.0000 0.0000
0.0000 0.0000 5.3659
4.9155 0.0000 1.4291
0.0000 3.5033 0.0000
0.0000 6.7452 0.0000
0.0000 5.1243 3.9368
```



[7]
The following is a computed powder X-ray diffraction pattern of La2Zn5Pd. It was derived from the GGA-PBE geometry in Alexandria, using copper Kα.
No peak broadening, texture or thermal motion is included.

Most intense lines, 10° ≤ 2θ ≤ 90°, sorted by position:
Position (°2θ), I_rel
28.64, 24.5
32.55, 100.0
33.92, 63.6
36.21, 33.3
38.11, 18.1
39.33, 18.4
41.03, 39.1
44.27, 15.1
45.38, 10.8
67.06, 14.0

Crystal structure
```
La2Zn5Pd
1.0
2.1999 -8.2659 0.0000
2.1999 8.2659 0.0000
0.0000 0.0000 9.1633
La Zn Pd
4 10 2
Cartesian
0.0000 0.0000 0.0000
0.0000 0.0000 4.5817
2.1999 5.0582 6.8725
2.1999 -5.0582 2.2908
2.1999 5.1646 1.0130
2.1999 5.1646 3.5687
2.1999 2.5394 0.1576
2.1999 2.5394 4.4241
2.1999 1.6608 6.8725
2.1999 -1.6608 2.2908
2.1999 -2.5394 4.7392
2.1999 -2.5394 9.0057
2.1999 -5.1646 5.5946
2.1999 -5.1646 8.1503
2.1999 0.9244 2.2908
2.1999 -0.9244 6.8725
```



[8]
The following is a computed powder X-ray diffraction pattern of La4ZnPd3. It was derived from the GGA-PBE geometry in Alexandria, using copper Kα.
No peak broadening, texture or thermal motion is included.

Most intense lines, 10° ≤ 2θ ≤ 90°, sorted by position:
Position (°2θ), I_rel
30.60, 100.0
31.41, 30.8
32.58, 26.3
37.03, 20.5
38.05, 71.4
38.80, 32.1
45.57, 20.0
50.74, 15.9
61.35, 16.3
75.18, 14.8

Crystal structure
```
La4ZnPd3
1.0
3.9814 0.0000 0.0000
0.0000 4.6425 0.0000
0.0000 0.0000 11.3938
La Zn Pd
4 1 3
Cartesian
0.0000 0.0000 0.0000
0.0000 2.3212 3.0022
1.9907 0.0000 5.5638
1.9907 2.3212 8.7726
0.0000 0.0000 8.0217
0.0000 2.3212 6.3345
1.9907 0.0000 2.4966
1.9907 2.3212 0.5296
```



[9]
The following is a computed powder X-ray diffraction pattern of La6Zn4Pd13. It was derived from the GGA-PBE geometry in Alexandria, using copper Kα.
No peak broadening, texture or thermal motion is included.

Most intense lines, 10° ≤ 2θ ≤ 90°, sorted by position:
Position (°2θ), I_rel
28.89, 27.8
34.33, 10.3
36.78, 14.2
39.10, 100.0
54.76, 8.7
56.49, 11.4
58.19, 7.2
63.10, 6.7
70.85, 29.5
84.02, 10.9

Crystal structure
```
La6Zn4Pd13
1.0
-4.8869 4.8869 4.8869
4.8869 -4.8869 4.8869
4.8869 4.8869 -4.8869
La Zn Pd
6 4 13
Cartesian
2.9715 0.0000 0.0000
6.8022 0.0000 0.0000
0.0000 2.9715 0.0000
0.0000 0.0000 2.9715
0.0000 6.8022 0.0000
0.0000 0.0000 6.8022
2.4434 2.4434 -2.4434
2.4434 -2.4434 2.4434
-2.4434 2.4434 2.4434
2.4434 2.4434 2.4434
0.0000 0.0000 0.0000
4.8869 1.6617 -1.6617
4.8869 -1.6617 1.6617
1.6617 4.8869 -1.6617
3.2252 3.2252 0.0000
3.2252 0.0000 3.2252
1.6617 -1.6617 4.8869
4.8869 1.6617 1.6617
0.0000 3.2252 3.2252
-1.6617 4.8869 1.6617
-1.6617 1.6617 4.8869
1.6617 4.8869 1.6617
1.6617 1.6617 4.8869
```



[10]
The following is a computed powder X-ray diffraction pattern of La3Zn6Pd5. It was derived from the GGA-PBE geometry in Alexandria, using copper Kα.
No peak broadening, texture or thermal motion is included.

Most intense lines, 10° ≤ 2θ ≤ 90°, sorted by position:
Position (°2θ), I_rel
28.98, 27.0
33.15, 13.7
34.59, 100.0
34.76, 59.7
37.46, 23.3
40.23, 18.9
41.44, 68.7
55.18, 16.5
68.59, 14.0
71.20, 13.3

Crystal structure
```
La3Zn6Pd5
1.0
4.3565 0.0000 0.0000
0.0000 13.0729 0.0000
0.0000 0.0000 9.6082
La Zn Pd
6 12 10
Cartesian
1.0891 0.8126 2.3769
1.0891 5.7238 2.3769
1.0891 9.8047 2.5522
3.2674 3.2682 7.0559
3.2674 7.3491 7.2313
3.2674 12.2603 7.2313
1.0891 0.8761 5.6285
1.0891 3.2682 0.2045
1.0891 3.2682 4.3600
1.0891 5.6603 5.6285
1.0891 7.9306 9.4855
1.0891 11.6788 9.4855
3.2674 1.3941 0.1227
3.2674 5.1423 0.1227
3.2674 7.4126 3.9797
3.2674 9.8047 5.2482
3.2674 9.8047 9.4037
3.2674 12.1968 3.9797
1.0891 1.1070 8.2970
1.0891 5.4295 8.2970
1.0891 8.3349 5.2099
1.0891 9.8047 7.6350
1.0891 11.2744 5.2099
3.2674 1.7985 4.3982
3.2674 3.2682 1.9731
3.2674 4.7380 4.3982
3.2674 7.6435 1.3112
3.2674 11.9659 1.3112
```



[11]
The following is a computed powder X-ray diffraction pattern of LaZn4Pd. It was derived from the GGA-PBE geometry in Alexandria, using copper Kα.
No peak broadening, texture or thermal motion is included.

Most intense lines, 10° ≤ 2θ ≤ 90°, sorted by position:
Position (°2θ), I_rel
27.67, 23.4
31.26, 49.5
33.80, 100.0
35.39, 88.9
40.01, 40.5
40.61, 95.7
44.08, 55.3
45.48, 34.7
61.02, 26.0
65.20, 22.8

Crystal structure
```
LaZn4Pd
1.0
7.9771 0.0000 0.0000
0.0000 4.1085 0.0000
0.0000 0.0000 7.0483
La Zn Pd
2 8 2
Cartesian
1.9943 0.0000 0.7967
5.9828 0.0000 6.2516
0.0000 0.0000 3.5241
0.3789 2.0542 5.5623
1.9943 2.0542 3.2036
3.6096 2.0542 5.5623
3.9885 0.0000 3.5241
4.3675 2.0542 1.4860
5.9828 2.0542 3.8446
7.5982 2.0542 1.4860
1.9943 0.0000 5.0006
5.9828 0.0000 2.0477
```



[12]
The following is a computed powder X-ray diffraction pattern of La3Zn4Pd4. It was derived from the GGA-PBE geometry in Alexandria, using copper Kα.
No peak broadening, texture or thermal motion is included.

Most intense lines, 10° ≤ 2θ ≤ 90°, sorted by position:
Position (°2θ), I_rel
30.91, 30.3
32.13, 100.0
32.83, 67.8
33.46, 86.8
41.20, 30.9
41.34, 57.4
42.61, 34.5
45.51, 45.4
49.09, 28.4
63.15, 31.8

Crystal structure
```
La3Zn4Pd4
1.0
3.9863 0.0000 0.0000
0.0016 4.3712 0.0000
1.9794 1.6722 13.6315
La Zn Pd
3 4 4
Cartesian
0.0000 0.0000 0.0000
1.9852 4.0717 9.6165
3.9820 1.9717 4.0150
1.9855 1.9394 6.7500
1.9917 4.1896 2.6658
3.9755 1.8539 10.9657
3.9817 4.1041 6.8815
1.9891 4.1283 5.2399
1.9871 2.0055 1.3650
3.9801 4.0379 12.2665
3.9781 1.9151 8.3916
```